No. 1
Starting from a structure optimized by DFT (GGA-PBE), the X-ray powder pattern of NbH2Br6 was computed for Cu Kα (λ = 1.5418 Å).

Most intense lines, 15 to 90 degrees two-theta, in order of falling intensity:
2theta	d (Å)	Rel. int.
29.19	3.060	100
25.85	3.447	49
32.42	2.762	40
23.44	3.796	34
40.37	2.234	28
37.53	2.397	21

Crystal structure
abc: 10.1315 10.1315 6.3369
angles: 96.25 96.25 81.57
Element x y z (fractional)
1 Nb 0.0762 0.9238 0.7500
2 Nb 0.9238 0.0762 0.2500
3 H 0.3502 0.3938 0.2286
4 H 0.3938 0.3502 0.7286
5 H 0.6062 0.6498 0.2714
6 H 0.6498 0.6062 0.7714
7 Br 0.0257 0.1741 0.6272
8 Br 0.0995 0.6966 0.8718
9 Br 0.1741 0.0257 0.1272
10 Br 0.2813 0.4600 0.4096
11 Br 0.3034 0.9005 0.6282
12 Br 0.4600 0.2813 0.9096
13 Br 0.5400 0.7187 0.0904
14 Br 0.6966 0.0995 0.3718
15 Br 0.7187 0.5400 0.5904
16 Br 0.8259 0.9743 0.8728
17 Br 0.9005 0.3034 0.1282
18 Br 0.9743 0.8259 0.3728



No. 2
Starting from a structure optimized by DFT (GGA-PBE), the X-ray powder pattern of NdH2Br4 was computed for Cu Kα (λ = 1.5418 Å).

Most intense lines, 15 to 90 degrees two-theta, in order of falling intensity:
2theta	d (Å)	Rel. int.
32.17	2.783	100
39.82	2.264	61
29.96	2.982	51
28.37	3.146	22
23.21	3.833	22
37.81	2.380	21

Crystal structure
abc: 3.9548 15.5697 5.9648
angles: 90.00 90.00 90.00
Element x y z (fractional)
1 Nd 0.0000 0.0000 0.0000
2 Nd 0.5000 0.5000 0.0000
3 H 0.0000 0.3957 0.5000
4 H 0.0000 0.6043 0.5000
5 H 0.5000 0.1043 0.5000
6 H 0.5000 0.8957 0.5000
7 Br 0.0000 0.1076 0.5000
8 Br 0.0000 0.3672 0.0000
9 Br 0.0000 0.6328 0.0000
10 Br 0.0000 0.8924 0.5000
11 Br 0.5000 0.1328 0.0000
12 Br 0.5000 0.3924 0.5000
13 Br 0.5000 0.6076 0.5000
14 Br 0.5000 0.8672 0.0000



No. 3
Starting from a structure optimized by DFT (GGA-PBE), the X-ray powder pattern of NiH2Br6 was computed for Cu Kα (λ = 1.5418 Å).

Most intense lines, 15 to 90 degrees two-theta, in order of falling intensity:
2theta	d (Å)	Rel. int.
26.91	3.313	100
17.97	4.935	44
32.38	2.765	35
23.77	3.743	28
32.04	2.794	23
39.85	2.262	20

Crystal structure
abc: 9.0648 9.0648 9.8562
angles: 115.70 115.70 76.10
Element x y z (fractional)
1 Ni 0.1483 0.8517 0.7500
2 Ni 0.8517 0.1483 0.2500
3 H 0.2505 0.4345 0.6278
4 H 0.4345 0.2505 0.1278
5 H 0.5655 0.7495 0.8722
6 H 0.7495 0.5655 0.3722
7 Br 0.0648 0.0916 0.4712
8 Br 0.0916 0.0648 0.9712
9 Br 0.1172 0.6170 0.7707
10 Br 0.2954 0.3383 0.0338
11 Br 0.3383 0.2954 0.5338
12 Br 0.3830 0.8828 0.7293
13 Br 0.6170 0.1172 0.2707
14 Br 0.6617 0.7046 0.4662
15 Br 0.7046 0.6617 0.9662
16 Br 0.8828 0.3830 0.2293
17 Br 0.9084 0.9352 0.0288
18 Br 0.9352 0.9084 0.5288



No. 4
Starting from a structure optimized by DFT (GGA-PBE), the X-ray powder pattern of NiHBr was computed for Cu Kα (λ = 1.5418 Å).

Most intense lines, 15 to 90 degrees two-theta, in order of falling intensity:
2theta	d (Å)	Rel. int.
26.16	3.406	100
29.02	3.077	67
53.83	1.703	42
44.29	2.045	38
37.70	2.386	18
45.85	1.979	17

Crystal structure
abc: 5.0875 6.1540 6.8768
angles: 90.00 90.00 90.00
Element x y z (fractional)
1 Ni 0.2500 0.2500 0.0000
2 Ni 0.2500 0.7500 0.0000
3 Ni 0.7500 0.2500 0.0000
4 Ni 0.7500 0.7500 0.0000
5 H 0.0000 0.2500 0.1389
6 H 0.0000 0.7500 0.8611
7 H 0.5000 0.2500 0.8611
8 H 0.5000 0.7500 0.1389
9 Br 0.0000 0.2500 0.7234
10 Br 0.0000 0.7500 0.2766
11 Br 0.5000 0.2500 0.2766
12 Br 0.5000 0.7500 0.7234



No. 5
Starting from a structure optimized by DFT (GGA-PBE), the X-ray powder pattern of NpHBr3 was computed for Cu Kα (λ = 1.5418 Å).

Most intense lines, 15 to 90 degrees two-theta, in order of falling intensity:
2theta	d (Å)	Rel. int.
17.99	4.930	100
38.79	2.321	55
39.36	2.289	50
22.08	4.026	37
37.47	2.400	35
40.35	2.235	34

Crystal structure
abc: 7.4921 6.5466 14.1003
angles: 90.00 90.64 90.00
Element x y z (fractional)
1 Np 0.0844 0.0028 0.1454
2 Np 0.0844 0.9972 0.6454
3 Np 0.9156 0.0028 0.3546
4 Np 0.9156 0.9972 0.8546
5 H 0.1066 0.1539 0.7745
6 H 0.1066 0.8461 0.2745
7 H 0.8934 0.1539 0.7255
8 H 0.8934 0.8461 0.2255
9 Br 0.1375 0.2384 0.9768
10 Br 0.1375 0.7616 0.4768
11 Br 0.2231 0.2430 0.2978
12 Br 0.2231 0.7570 0.7978
13 Br 0.3589 0.2482 0.6198
14 Br 0.3589 0.7518 0.1198
15 Br 0.6411 0.2482 0.8802
16 Br 0.6411 0.7518 0.3802
17 Br 0.7769 0.2430 0.2022
18 Br 0.7769 0.7570 0.7022
19 Br 0.8625 0.2384 0.5232
20 Br 0.8625 0.7616 0.0232



No. 6
Starting from a structure optimized by DFT (GGA-PBE), the X-ray powder pattern of PmH2BrO2 was computed for Cu Kα (λ = 1.5418 Å).

Most intense lines, 15 to 90 degrees two-theta, in order of falling intensity:
2theta	d (Å)	Rel. int.
28.09	3.177	100
25.11	3.546	44
19.19	4.625	41
31.11	2.875	40
36.95	2.433	34
47.34	1.920	31

Crystal structure
abc: 6.5565 4.0789 7.2069
angles: 90.00 95.22 90.00
Element x y z (fractional)
1 Pm 0.0616 0.2500 0.3108
2 Pm 0.9384 0.7500 0.6892
3 H 0.4950 0.5623 0.7121
4 H 0.4950 0.9377 0.7121
5 H 0.5050 0.0623 0.2879
6 H 0.5050 0.4377 0.2879
7 Br 0.2550 0.7500 0.0337
8 Br 0.7450 0.2500 0.9663
9 O 0.0707 0.2500 0.6238
10 O 0.4580 0.2500 0.3576
11 O 0.5420 0.7500 0.6424
12 O 0.9293 0.7500 0.3762